# NaNbGe2O8
Simulated powder diffractogram, Cu Kα X-rays. Input: a DFT-relaxed cell (GGA-PBE, Alexandria).

```
NaNbGe2O8
1.0
3.247 -3.417 0.000
3.247 3.417 0.000
0.000 0.000 6.248
Na Nb Ge O
1 1 2 8
direct
0.000 0.000 0.000
0.000 0.000 0.500
0.500 0.500 0.262
0.500 0.500 0.738
0.216 0.216 0.278
0.216 0.216 0.722
0.308 0.692 0.500
0.343 0.657 0.000
0.657 0.343 0.000
0.692 0.308 0.500
0.784 0.784 0.278
0.784 0.784 0.722
```

Main lines, sorted by position (15 to 90 degrees two-theta):
| 2θ (°) | I (rel.) |
| --- | --- |
| 23.66 | 25.6 |
| 26.08 | 93.2 |
| 27.47 | 69.0 |
| 34.45 | 100.0 |
| 38.24 | 22.3 |
| 51.61 | 58.9 |
| 53.20 | 41.7 |
| 56.71 | 14.9 |
| 63.45 | 17.2 |
| 66.70 | 32.5 |